Entry 1:
Structure and calculated powder X-ray diffraction pattern of MgCuF5 (a structure optimized by DFT (PBE); Cu Kα (λ = 1.5418 Å)).
No peak broadening, texture or thermal motion is included.

Atomic structure:
```
MgCuF5
1.0
5.190 0.000 0.000
0.000 9.647 0.000
-2.462 0.000 6.809
Mg Cu F
4 4 20
Direct
0.022 0.014 0.252 Mg
0.022 0.486 0.752 Mg
0.978 0.514 0.248 Mg
0.978 0.986 0.748 Mg
0.403 0.246 0.603 Cu
0.403 0.254 0.103 Cu
0.597 0.746 0.897 Cu
0.597 0.754 0.397 Cu
0.102 0.112 0.561 F
0.102 0.388 0.061 F
0.136 0.107 0.999 F
0.136 0.393 0.499 F
0.302 0.630 0.353 F
0.302 0.870 0.853 F
0.343 0.188 0.337 F
0.343 0.312 0.837 F
0.358 0.595 0.804 F
0.358 0.905 0.304 F
0.642 0.095 0.696 F
0.642 0.405 0.196 F
0.657 0.688 0.163 F
0.657 0.812 0.663 F
0.698 0.130 0.147 F
0.698 0.370 0.647 F
0.864 0.607 0.501 F
0.864 0.893 0.001 F
0.898 0.612 0.939 F
0.898 0.888 0.439 F
```

The 8 most intense peaks (10 to 90 degrees two-theta), most intense first:
2θ 25.97, rel. 100, hkl 1 2 0; 2θ 27.79, rel. 65, hkl 0 1 2; 2θ 27.94, rel. 58, hkl 1 1 -2; 2θ 20.39, rel. 55, hkl 1 1 0; 2θ 46.73, rel. 39, hkl 2 3 0; 2θ 18.39, rel. 25, hkl 0 2 0; 2θ 50.42, rel. 24, hkl 1 0 -4; 2θ 53.52, rel. 22, hkl 1 4 2

=====

Entry 2:
Structure and calculated powder X-ray diffraction pattern of MgCu6OF11 (a structure optimized by DFT (PBE); Cu Kα (λ = 1.5418 Å)).
No peak broadening, texture or thermal motion is included.

Atomic structure:
```
MgCu6OF11
1.0
5.253 0.000 0.000
-0.004 5.593 0.000
-0.096 -0.877 8.144
Mg Cu O F
1 6 1 11
Direct
0.000 0.000 0.000 Mg
0.012 0.017 0.497 Cu
0.062 0.567 0.245 Cu
0.484 0.870 0.808 Cu
0.500 0.509 0.491 Cu
0.502 0.152 0.199 Cu
0.980 0.397 0.811 Cu
0.378 0.446 0.278 O
0.153 0.700 0.888 F
0.168 0.313 0.597 F
0.169 0.948 0.209 F
0.301 0.831 0.562 F
0.314 0.150 0.921 F
0.649 0.573 0.714 F
0.676 0.887 0.077 F
0.734 0.204 0.419 F
0.819 0.065 0.785 F
0.832 0.727 0.412 F
0.893 0.351 0.063 F
```

The 8 most intense peaks (10 to 90 degrees two-theta), most intense first:
2θ 24.95, rel. 100, hkl 1 1 -1; 2θ 25.08, rel. 69, hkl 1 -1 1; 2θ 33.17, rel. 39, hkl -1 1 2; 2θ 32.98, rel. 36, hkl 0 0 3; 2θ 33.48, rel. 28, hkl 1 1 2; 2θ 34.14, rel. 28, hkl 2 0 0; 2θ 52.39, rel. 23, hkl 1 3 0; 2θ 31.03, rel. 23, hkl 1 -1 2

=====

Entry 3:
Structure and calculated powder X-ray diffraction pattern of MgCu6OF11 (a structure optimized by DFT (PBE); Cu Kα (λ = 1.5418 Å)).
No peak broadening, texture or thermal motion is included.

Atomic structure:
```
MgCu6OF11
1.0
4.738 0.000 0.000
-0.475 5.552 0.000
-0.098 -0.149 8.922
Mg Cu O F
1 6 1 11
Direct
0.000 0.000 0.000 Mg
0.306 0.341 0.455 Cu
0.350 0.613 0.078 Cu
0.357 0.988 0.732 Cu
0.656 0.258 0.183 Cu
0.847 0.793 0.430 Cu
0.897 0.492 0.708 Cu
0.040 0.548 0.515 O
0.067 0.787 0.166 F
0.092 0.203 0.827 F
0.110 0.039 0.514 F
0.124 0.278 0.136 F
0.125 0.744 0.856 F
0.565 0.554 0.330 F
0.575 0.263 0.653 F
0.586 0.955 0.031 F
0.621 0.772 0.674 F
0.623 0.061 0.355 F
0.648 0.446 0.001 F
```

The 8 most intense peaks (10 to 90 degrees two-theta), most intense first:
2θ 27.88, rel. 100, hkl 1 1 1; 2θ 31.11, rel. 73, hkl 1 -1 2; 2θ 25.74, rel. 41, hkl -1 1 1; 2θ 30.05, rel. 35, hkl 0 0 3; 2θ 32.48, rel. 23, hkl 1 1 -2; 2θ 33.65, rel. 21, hkl 0 2 -1; 2θ 52.18, rel. 19, hkl 0 2 -4; 2θ 57.62, rel. 19, hkl 2 2 2

=====

Entry 4:
Structure and calculated powder X-ray diffraction pattern of MgCu6OF11 (a structure optimized by DFT (PBE); Cu Kα (λ = 1.5418 Å)).
No peak broadening, texture or thermal motion is included.

Atomic structure:
```
MgCu6OF11
1.0
4.731 0.000 0.000
0.437 5.656 0.000
0.015 0.096 8.763
Mg Cu O F
1 6 1 11
Direct
0.000 0.000 0.000 Mg
0.176 0.809 0.421 Cu
0.234 0.494 0.784 Cu
0.332 0.292 0.160 Cu
0.644 0.622 0.068 Cu
0.654 0.992 0.726 Cu
0.688 0.324 0.433 Cu
0.353 0.476 0.987 O
0.389 0.775 0.660 F
0.398 0.096 0.343 F
0.416 0.974 0.012 F
0.434 0.269 0.648 F
0.450 0.576 0.327 F
0.884 0.752 0.851 F
0.895 0.264 0.142 F
0.901 0.042 0.503 F
0.913 0.205 0.823 F
0.934 0.780 0.165 F
0.958 0.546 0.494 F
```

The 8 most intense peaks (10 to 90 degrees two-theta), most intense first:
2θ 27.43, rel. 100, hkl -1 1 1; 2θ 31.44, rel. 48, hkl 1 1 -2; 2θ 30.61, rel. 42, hkl 0 0 3; 2θ 25.66, rel. 40, hkl 1 1 1; 2θ 32.89, rel. 34, hkl 1 -1 2; 2θ 53.17, rel. 24, hkl 0 2 -4; 2θ 33.40, rel. 22, hkl 0 2 -1; 2θ 56.62, rel. 18, hkl -2 2 2

=====

What is the formula in the first record?
MgCuF5